Entry 1:
Structure and computed powder diffractogram of PrAlO3 (DFT lattice parameters and positions (GGA-PBE); copper Kα).

Structural model:
Cell lengths 3.7902, 3.7902, 3.7902 Å; angles 90.00, 90.00, 90.00 degrees
Space group Pm-3m (No. 221)
Asymmetric unit:
Pr1 0.0000 0.0000 0.0000 [1 per cell]
Al1 0.5000 0.5000 0.5000 [1 per cell]
O1 0.0000 0.5000 0.5000 [3 per cell]

Most intense lines, 2θ = 10–90°, sorted by position:
- 23.5°, d = 3.790 Å, rel. 49, (1 0 0)
- 33.4°, d = 2.680 Å, rel. 100, (1 1 0)
- 41.3°, d = 2.188 Å, rel. 43, (1 1 1)
- 48.0°, d = 1.895 Å, rel. 36, (2 0 0)
- 54.1°, d = 1.695 Å, rel. 23, (2 1 0)
- 59.8°, d = 1.547 Å, rel. 39, (2 1 1)
- 70.2°, d = 1.340 Å, rel. 21, (2 2 0)
- 75.2°, d = 1.263 Å, rel. 11, (3 0 0)
- 80.1°, d = 1.199 Å, rel. 17, (3 1 0)
- 84.8°, d = 1.143 Å, rel. 13, (3 1 1)

***

Entry 2:
Structure and computed powder diffractogram of PrAlO3 (DFT lattice parameters and positions (GGA-PBE); copper Kα).

Structural model:
Cell lengths 5.3969, 5.3969, 13.0755 Å; angles 90.00, 90.00, 120.00 degrees
Space group R-3c (No. 167, hexagonal axes)
Asymmetric unit:
Pr1 0.0000 0.0000 0.2500 [6 per cell]
Al1 0.0000 0.0000 0.0000 [6 per cell]
O1 0.0000 0.4523 0.2500 [18 per cell]

Most intense lines, 2θ = 10–90°, sorted by position:
- 23.4°, d = 3.802 Å, rel. 100, (0 1 2)
- 33.2°, d = 2.698 Å, rel. 98, (1 1 0)
- 33.5°, d = 2.679 Å, rel. 100, (1 0 4)
- 41.0°, d = 2.201 Å, rel. 60, (2 0 2)
- 41.4°, d = 2.179 Å, rel. 21, (0 0 6)
- 47.8°, d = 1.901 Å, rel. 67, (0 2 4)
- 53.8°, d = 1.705 Å, rel. 24, (1 2 2)
- 54.1°, d = 1.695 Å, rel. 22, (1 1 6)
- 59.3°, d = 1.558 Å, rel. 22, (3 0 0)
- 59.5°, d = 1.554 Å, rel. 41, (2 1 4)